Structure and theoretical X-ray powder pattern of Ga2HO2 (a PBE-relaxed structure; CuKα).

```
Ga2HO2
1.0
3.0761 0.0000 0.0000
-1.5381 2.6640 0.0000
0.0000 0.0000 22.5520
Ga H O
6 3 6
Direct
0.0000 0.0000 0.1046
0.0000 0.0000 0.8954
0.3333 0.6667 0.5621
0.3333 0.6667 0.7713
0.6667 0.3333 0.2287
0.6667 0.3333 0.4379
0.0000 0.0000 0.5000
0.3333 0.6667 0.1667
0.6667 0.3333 0.8333
0.0000 0.0000 0.2617
0.0000 0.0000 0.7383
0.3333 0.6667 0.4050
0.3333 0.6667 0.9284
0.6667 0.3333 0.0716
0.6667 0.3333 0.5950
```

The 8 most intense peaks (2θ from 5° to 70°), by angle:
| 2θ/deg | intensity |
| --- | --- |
| 11.77 | 658 |
| 23.67 | 891 |
| 33.88 | 759 |
| 37.33 | 419 |
| 39.28 | 1000 |
| 46.93 | 248 |
| 60.16 | 335 |
| 65.58 | 261 |